For LiUAsH8O10, a cell relaxed with GGA-PBE gives the computed X-ray diffraction stick pattern in this record (λ = 1.5418 Å (Cu Kα)).
Peak positions follow from Bragg's law for the DFT cell and can differ from measured ones.

Structure:
a b c (Å): 7.144 7.144 9.441
angles (deg): 90.00 90.00 90.00
Space group P4/n (No. 85, origin choice 2)
Asymmetric unit:
Li  0.250  0.750  0.000
U  0.250  0.250  0.394
As  0.250  0.750  0.500
H  0.072  0.392  0.887
H  0.080  0.660  0.223
O  0.035  0.693  0.127
O  0.068  0.802  0.613
O  0.250  0.250  0.202
O  0.250  0.250  0.587

Peak list (12 most intense, 2θ from 10° to 90°, in order of rising 2θ)
2θ (°), Rel. int.
15.55, 74
17.56, 26
19.93, 23
22.58, 100
24.93, 78
26.68, 83
29.52, 45
31.05, 24
36.84, 35
40.23, 30
42.52, 25
56.38, 29